Record 1
Simulated powder diffractogram
Compound: Na2NiH8S2O12
Radiation: Cu Kα (weighted mean of Kα1 and Kα2)
Structure: a cell relaxed with GGA+U
Kinematic intensities with the Lorentz-polarization factor, no thermal factor.

```
50
Lattice="7.458 0.000 0.000 0.000 7.117 0.000 -0.042 0.000 12.900" Properties=species:S:1:pos:R:3 pbc="T T T"
Na 0.949 0.760 2.126
Na 0.928 2.798 8.576
Na 6.489 4.319 4.324
Na 6.468 6.357 10.774
Ni -0.021 0.000 6.450
Ni 0.000 3.559 0.000
H 2.027 5.007 1.712
H 2.006 5.669 8.162
H 2.223 4.619 7.051
H 2.243 6.057 0.601
H 2.618 0.901 8.190
H 2.639 2.658 1.740
H 3.389 4.862 10.672
H 3.410 5.814 4.222
H 4.007 1.304 8.678
H 4.028 2.255 2.228
H 4.778 4.459 11.160
H 4.799 6.217 4.710
H 5.173 1.060 12.299
H 5.194 2.498 5.849
H 5.411 1.448 4.738
H 5.390 2.111 11.188
S 1.851 1.584 11.317
S 1.872 1.974 4.867
S 5.545 5.143 8.033
S 5.566 5.533 1.583
O 0.596 0.365 8.178
O 0.617 3.193 1.728
O 0.804 0.056 4.597
O 0.783 3.503 11.047
O 1.167 0.839 12.399
O 1.188 2.720 5.949
O 1.732 4.782 7.874
O 1.752 5.894 1.424
O 3.007 1.162 5.308
O 2.987 2.397 11.758
O 3.119 1.670 8.523
O 3.140 1.889 2.073
O 4.277 5.229 10.827
O 4.298 5.447 4.377
O 4.430 4.721 1.142
O 4.409 5.955 7.592
O 5.664 1.223 11.476
O 5.685 2.336 5.026
O 6.229 4.398 6.951
O 6.250 6.278 0.501
O 6.634 3.615 1.854
O 6.613 7.061 8.304
O 6.800 3.924 11.172
O 6.820 6.752 4.722
```

The 10 most intense peaks (2θ = 5–70°), in order of rising 2θ:
2θ (°), I/Imax
11.87, 100
13.73, 30
14.21, 43
17.22, 100
18.57, 82
27.65, 33
27.79, 85
27.90, 50
30.41, 73
40.51, 35



Record 2
Simulated powder diffractogram
Compound: Na2NiH8S2O12
Radiation: Cu Kα (weighted mean of Kα1 and Kα2)
Structure: a cell relaxed with GGA+U
Kinematic intensities with the Lorentz-polarization factor, no thermal factor.

```
50
Lattice="5.567 0.000 0.000 0.000 8.259 0.000 -1.924 0.000 10.958" Properties=species:S:1:pos:R:3 pbc="T T T"
Na -0.008 0.587 3.952
Na -0.969 3.543 9.431
Na 4.613 4.717 1.527
Na 3.651 7.672 7.006
Ni 0.000 0.000 0.000
Ni -0.962 4.130 5.479
H 0.596 5.255 3.805
H -0.366 7.134 9.284
H -0.274 0.460 8.998
H 0.688 3.669 3.519
H 1.284 5.984 0.163
H 0.322 6.405 5.642
H 0.560 5.725 7.013
H 1.522 6.664 1.534
H 2.122 1.595 9.424
H 3.084 2.534 3.945
H 3.321 1.854 5.316
H 2.360 2.275 10.795
H 2.956 4.590 7.439
H 3.918 7.799 1.960
H 4.009 1.125 1.674
H 3.048 3.005 7.153
S 0.871 1.771 6.974
S 1.833 2.359 1.495
S 1.811 5.901 9.463
S 2.773 6.488 3.984
O 0.054 4.421 3.710
O -0.908 7.968 9.189
O -0.152 5.887 6.341
O 0.810 6.502 0.862
O 0.076 0.711 6.329
O 1.037 3.419 0.850
O 1.608 1.037 0.840
O 0.646 3.093 6.319
O 0.337 5.604 9.575
O 1.299 6.785 4.096
O 0.538 1.857 8.440
O 1.500 2.273 2.961
O 2.144 5.986 7.997
O 3.106 6.403 2.518
O 2.345 1.474 6.862
O 3.307 2.656 1.383
O 2.998 5.166 4.639
O 2.036 7.222 10.118
O 2.606 4.841 10.108
O 3.568 7.548 4.629
O 2.834 1.758 10.096
O 3.796 2.372 4.617
O 4.552 0.291 1.769
O 3.590 3.839 7.248
```

The 10 most intense peaks (2θ = 5–70°), in order of rising 2θ:
2θ (°), I/Imax
13.42, 23
16.17, 20
19.44, 64
20.84, 38
22.13, 19
26.69, 20
27.03, 100
27.16, 36
27.41, 19
33.96, 27



Record 3
Simulated powder diffractogram
Compound: Na2NiH4Se2O10
Radiation: Cu Kα (weighted mean of Kα1 and Kα2)
Structure: a cell relaxed with GGA+U
Kinematic intensities with the Lorentz-polarization factor, no thermal factor.

```
19
Lattice="5.614 0.000 0.000 -1.675 5.767 0.000 -1.214 -3.030 6.761" Properties=species:S:1:pos:R:3 pbc="T T T"
Na 0.126 0.931 1.683
Na 2.598 1.806 5.078
Ni 2.200 -1.515 3.381
H 0.376 4.674 0.818
H -0.043 2.576 5.299
H 2.767 0.162 1.462
H 2.348 -1.936 5.943
Se -0.548 -0.312 4.984
Se 3.273 3.050 1.777
O -1.131 3.050 2.957
O -0.531 -1.687 5.901
O -0.870 1.065 5.891
O 0.930 -0.034 4.208
O 2.042 -0.499 1.613
O 0.683 3.236 5.148
O 1.795 2.772 2.553
O 3.595 1.673 0.870
O 3.256 4.425 0.860
O 3.856 -0.313 3.804
```

The 10 most intense peaks (2θ = 5–70°), in order of rising 2θ:
2θ (°), I/Imax
13.09, 35
16.58, 89
24.48, 100
24.81, 48
26.36, 25
27.09, 24
28.23, 67
32.13, 46
32.64, 40
33.41, 26



Record 4
Simulated powder diffractogram
Compound: Na2NiH4Se2O10
Radiation: Cu Kα (weighted mean of Kα1 and Kα2)
Structure: a cell relaxed with GGA+U
Kinematic intensities with the Lorentz-polarization factor, no thermal factor.

```
19
Lattice="5.744 0.000 0.000 2.072 6.514 0.000 0.364 1.146 7.938" Properties=species:S:1:pos:R:3 pbc="T T T"
Na 1.074 1.207 2.577
Na 7.105 6.452 5.362
Ni 3.908 3.257 0.000
H 2.624 3.337 3.770
H 2.768 0.614 4.211
H 5.411 7.045 3.728
H 5.555 4.322 4.169
Se 1.591 2.851 5.785
Se 6.589 4.809 2.154
O 0.285 0.513 0.202
O 0.797 1.624 4.922
O 1.830 3.413 2.303
O 2.983 3.224 4.718
O 3.467 2.950 7.782
O 4.712 4.710 0.157
O 5.196 4.436 3.221
O 6.349 4.246 5.635
O 7.382 6.035 3.016
O 7.894 7.147 7.736
```

The 10 most intense peaks (2θ = 5–70°), in order of rising 2θ:
2θ (°), I/Imax
13.74, 56
16.19, 56
18.93, 76
19.70, 77
20.00, 52
24.28, 97
27.16, 58
27.76, 100
30.32, 47
33.88, 45